Record 1
Theoretical powder diffraction line list of KFeMo for copper Kα, from a DFT-relaxed cell (PBE, Alexandria).
Kinematic intensities with the Lorentz-polarization factor, no thermal factor.

The 6 most intense peaks (2θ = 10–90°), sorted by position:
2θ (°), d_spacing, intensity, h k l
11.8, 7.485, 1000, 0 0 1
23.8, 3.742, 361, 0 0 2
33.6, 2.664, 914, 1 0 1
39.7, 2.268, 457, 1 0 2
48.5, 1.877, 381, 1 0 3
55.9, 1.646, 219, 1 1 0

Atomic structure:
a = 3.2916 Å, b = 3.2916 Å, c = 7.4848 Å
α = 90.00°, β = 90.00°, γ = 120.00°
Sites, in units of the cell vectors:
K 0.0000 0.0000 0.0000
Fe 0.3333 0.6667 0.6112
Mo 0.6667 0.3333 0.4467


Record 2
Theoretical powder diffraction line list of ErTlO for copper Kα, from a DFT-relaxed cell (PBE, Alexandria).
Kinematic intensities with the Lorentz-polarization factor, no thermal factor.

The 6 most intense peaks (2θ = 10–90°), sorted by position:
2θ (°), d_spacing, intensity, h k l
27.8, 3.205, 192, 1 0 0
29.8, 3.002, 283, 0 0 2
31.6, 2.827, 1000, 1 0 1
49.2, 1.850, 211, 1 1 0
54.0, 1.697, 225, 1 0 3
58.6, 1.575, 250, 1 1 2

Atomic structure:
a = 3.7007 Å, b = 3.7007 Å, c = 6.0031 Å
α = 90.00°, β = 90.00°, γ = 120.00°
Sites, in units of the cell vectors:
Er 0.0000 0.0000 0.0000
Tl 0.3333 0.6667 0.5000
O 0.6667 0.3333 0.0000


Record 3
Theoretical powder diffraction line list of AcPrBeN2 for copper Kα, from a DFT-relaxed cell (PBE, Alexandria).
Kinematic intensities with the Lorentz-polarization factor, no thermal factor.

The 6 most intense peaks (2θ = 10–90°), sorted by position:
2θ (°), d_spacing, intensity, h k l
23.7, 3.759, 1000, 1 1 0
25.0, 3.556, 370, 0 0 2
32.5, 2.752, 215, 0 2 0
34.7, 2.583, 833, 1 1 2
41.5, 2.176, 266, 0 2 2
43.4, 2.085, 236, 2 0 2

Atomic structure:
a = 5.1466 Å, b = 5.5036 Å, c = 7.1126 Å
α = 90.00°, β = 90.00°, γ = 90.00°
Sites, in units of the cell vectors:
Ac 0.0000 0.0000 0.2500
Ac 0.0000 0.0000 0.7500
Pr 0.5000 0.5000 0.2500
Pr 0.5000 0.5000 0.7500
Be 0.0000 0.5000 0.0000
Be 0.0000 0.5000 0.5000
N 0.2103 0.2978 0.0000
N 0.2103 0.7022 0.5000
N 0.7897 0.2978 0.5000
N 0.7897 0.7022 0.0000


What did the third record say?
Theoretical powder diffraction line list of AcPrBeN2 for copper Kα, from a DFT-relaxed cell (PBE, Alexandria).
Kinematic intensities with the Lorentz-polarization factor, no thermal factor.

The 6 most intense peaks (2θ = 10–90°), sorted by position:
2θ (°), d_spacing, intensity, h k l
23.7, 3.759, 1000, 1 1 0
25.0, 3.556, 370, 0 0 2
32.5, 2.752, 215, 0 2 0
34.7, 2.583, 833, 1 1 2
41.5, 2.176, 266, 0 2 2
43.4, 2.085, 236, 2 0 2

Atomic structure:
a = 5.1466 Å, b = 5.5036 Å, c = 7.1126 Å
α = 90.00°, β = 90.00°, γ = 90.00°
Sites, in units of the cell vectors:
Ac 0.0000 0.0000 0.2500
Ac 0.0000 0.0000 0.7500
Pr 0.5000 0.5000 0.2500
Pr 0.5000 0.5000 0.7500
Be 0.0000 0.5000 0.0000
Be 0.0000 0.5000 0.5000
N 0.2103 0.2978 0.0000
N 0.2103 0.7022 0.5000
N 0.7897 0.2978 0.5000
N 0.7897 0.7022 0.0000